No. 1
Li3NbFe3O8: calculated X-ray diffraction stick pattern (λ = 1.5418 Å (Cu Kα)), based on a PBE+U-relaxed structure.
Peak positions follow from Bragg's law for the DFT cell and can differ from measured ones.

Crystal structure
abc: 6.0553 6.0553 15.0394
angles: 90.00 90.00 120.00
Space group R-3m (No. 166, hexagonal axes)
Asymmetric unit:
Li1 0.0000 0.5000 0.0000
Nb1 0.0000 0.0000 0.5000
Fe1 0.0000 0.5000 0.5000
O1 0.0000 0.0000 0.2411
O2 0.0141 0.5070 0.2416

Main lines, sorted by position (15 to 90 degrees two-theta):
two_theta	Rel. int.	h k l
17.69	1000	0 0 3
34.73	429	0 2 1
36.28	150	2 0 2
42.01	666	0 2 4
45.91	152	2 0 5
55.28	149	0 2 7
60.61	187	2 0 8
61.23	188	2 2 0
64.28	158	2 2 3
77.04	86	4 0 4

No. 2
LiNbFeO4: calculated X-ray diffraction stick pattern (λ = 1.5418 Å (Cu Kα)), based on a PBE+U-relaxed structure.
Peak positions follow from Bragg's law for the DFT cell and can differ from measured ones.

Crystal structure
abc: 6.234 6.238 10.739
angles: 90.61 106.45 119.54
Space group P-1 (No. 2)
Asymmetric unit:
Li1 0.098 0.319 0.428
Li2 0.107 0.832 0.929
Nb1 0.009 0.281 0.770
Nb2 0.491 0.261 0.271
Fe1 0.490 0.243 0.750
Fe2 0.500 0.000 0.500
Fe3 0.500 0.500 0.000
O1 0.232 0.151 0.855
O2 0.236 0.614 0.864
O3 0.239 0.392 0.640
O4 0.249 0.899 0.141
O5 0.250 0.126 0.364
O6 0.254 0.671 0.365
O7 0.293 0.876 0.644
O8 0.306 0.384 0.134

Main lines, sorted by position (15 to 90 degrees two-theta):
two_theta	Rel. int.	h k l
17.33	341	0 1 -1
17.51	1000	-1 1 1
33.59	428	1 1 -3
33.72	133	1 -1 3
33.88	122	0 1 3
35.07	141	2 0 0
40.91	432	2 -2 2
41.00	205	2 0 -4
59.26	247	2 0 4
62.15	106	2 -4 2

No. 3
Li4NbFe5P6O24: calculated X-ray diffraction stick pattern (λ = 1.5418 Å (Cu Kα)), based on a PBE+U-relaxed structure.
Peak positions follow from Bragg's law for the DFT cell and can differ from measured ones.

Crystal structure
abc: 8.498 8.633 8.644
angles: 63.11 63.46 63.92
Space group P1 (No. 1)
Asymmetric unit:
Li1 0.000 0.000 0.000
Li2 0.098 0.491 0.944
Li3 0.547 0.694 0.289
Li4 0.894 0.147 0.491
Nb1 0.104 0.698 0.494
Fe1 0.267 0.857 0.644
Fe2 0.401 0.002 0.795
Fe3 0.604 0.208 0.993
Fe4 0.744 0.354 0.146
Fe5 0.907 0.505 0.303
P1 0.000 0.290 0.701
P2 0.192 0.098 0.191
P3 0.310 0.598 0.084
P4 0.502 0.399 0.593
P5 0.692 0.906 0.392
P6 0.813 0.803 0.896
O1 0.007 0.258 0.214
O2 0.013 0.759 0.746
O3 0.070 0.452 0.652
O4 0.148 0.101 0.726
O5 0.156 0.526 0.119
O6 0.165 0.950 0.392
O7 0.201 0.030 0.052
O8 0.258 0.664 0.250
O9 0.310 0.762 0.907
O10 0.357 0.602 0.553
O11 0.363 0.144 0.146
O12 0.423 0.255 0.632
O13 0.498 0.454 0.077
O14 0.504 0.928 0.542
O15 0.561 0.376 0.745
O16 0.657 0.861 0.824
O17 0.660 0.414 0.402
O18 0.709 0.087 0.234
O19 0.722 0.753 0.327
O20 0.811 0.949 0.951
O21 0.816 0.613 0.052
O22 0.854 0.282 0.893
O23 0.855 0.851 0.468
O24 0.932 0.321 0.550

Main lines, sorted by position (15 to 90 degrees two-theta):
two_theta	Rel. int.	h k l
19.61	1000	0 1 -1
19.70	462	1 0 -1
23.40	531	0 1 2
23.62	527	1 2 0
23.75	336	2 0 1
32.58	586	1 2 3
32.82	266	2 1 3
34.26	331	1 -2 1
34.41	662	-2 1 1
53.74	298	4 4 4

No. 4
Li4Nb2Fe3Sb3O16: calculated X-ray diffraction stick pattern (λ = 1.5418 Å (Cu Kα)), based on a PBE+U-relaxed structure.
Peak positions follow from Bragg's law for the DFT cell and can differ from measured ones.

Crystal structure
abc: 11.001 6.242 9.992
angles: 90.00 90.85 90.00
Space group Cm (No. 8)
Asymmetric unit:
Li1 0.000 0.000 0.000
Li2 0.004 0.000 0.487
Li3 0.185 0.500 0.088
Li4 0.349 0.000 0.568
Nb1 0.184 0.500 0.484
Nb2 0.357 0.000 0.004
Fe1 0.347 0.500 0.771
Fe2 0.426 0.250 0.272
Sb1 0.103 0.260 0.769
Sb2 0.185 0.000 0.266
O1 0.002 0.000 0.673
O2 0.020 0.000 0.183
O3 0.035 0.500 0.587
O4 0.112 0.239 0.386
O5 0.179 0.000 0.885
O6 0.209 0.500 0.889
O7 0.255 0.287 0.639
O8 0.261 0.211 0.139
O9 0.339 0.000 0.373
O10 0.344 0.500 0.389
O11 0.412 0.246 0.902
O12 0.487 0.000 0.135

Main lines, sorted by position (15 to 90 degrees two-theta):
two_theta	Rel. int.	h k l
17.76	779	0 0 2
18.54	1000	2 0 1
18.66	756	1 1 1
24.28	399	1 1 2
33.72	560	4 0 -1
33.89	527	4 0 1
34.17	461	2 2 -1
34.30	422	2 2 1
43.15	349	2 2 3
58.38	429	6 2 0

No. 5
Li4Nb2Fe3Sb3O16: calculated X-ray diffraction stick pattern (λ = 1.5418 Å (Cu Kα)), based on a PBE+U-relaxed structure.
Peak positions follow from Bragg's law for the DFT cell and can differ from measured ones.

Crystal structure
abc: 6.280 6.285 10.008
angles: 89.37 89.72 60.10
Space group P1 (No. 1)
Asymmetric unit:
Li1 0.000 0.000 0.000
Li2 0.006 0.992 0.485
Li3 0.339 0.317 0.572
Li4 0.675 0.644 0.088
Nb1 0.356 0.291 0.002
Nb2 0.680 0.635 0.486
Fe1 0.178 0.148 0.272
Fe2 0.671 0.150 0.273
Fe3 0.845 0.311 0.773
Sb1 0.181 0.635 0.268
Sb2 0.358 0.798 0.767
Sb3 0.844 0.800 0.767
O1 0.017 0.965 0.183
O2 0.024 0.982 0.669
O3 0.045 0.484 0.140
O4 0.179 0.160 0.901
O5 0.182 0.645 0.887
O6 0.332 0.330 0.376
O7 0.347 0.787 0.387
O8 0.470 0.483 0.141
O9 0.484 0.031 0.137
O10 0.521 0.937 0.609
O11 0.522 0.508 0.635
O12 0.659 0.180 0.908
O13 0.676 0.624 0.888
O14 0.837 0.319 0.392
O15 0.861 0.788 0.390
O16 0.961 0.502 0.634

Main lines, sorted by position (15 to 90 degrees two-theta):
two_theta	Rel. int.	h k l
17.73	775	0 0 2
18.53	1000	1 0 1
18.63	917	0 1 -1
32.91	383	0 2 0
33.76	335	2 1 -2
34.06	472	0 2 1
34.15	636	2 0 -1
42.88	348	2 0 3
43.10	338	2 2 -3
58.73	423	2 -2 0

No. 6
Li4Nb3Fe3Sn2O16: calculated X-ray diffraction stick pattern (λ = 1.5418 Å (Cu Kα)), based on a PBE+U-relaxed structure.
Peak positions follow from Bragg's law for the DFT cell and can differ from measured ones.

Crystal structure
abc: 10.768 6.133 10.021
angles: 90.00 90.93 90.00
Space group Cm (No. 8)
Asymmetric unit:
Li1 0.000 0.000 0.000
Li2 0.004 0.000 0.515
Li3 0.167 0.500 0.907
Li4 0.337 0.000 0.422
Nb1 0.095 0.261 0.232
Nb2 0.182 0.000 0.735
Fe1 0.339 0.500 0.232
Fe2 0.421 0.243 0.729
Sn1 0.181 0.500 0.520
Sn2 0.348 0.000 0.001
O1 0.016 0.000 0.327
O2 0.018 0.000 0.820
O3 0.023 0.500 0.361
O4 0.098 0.244 0.616
O5 0.167 0.500 0.111
O6 0.177 0.000 0.125
O7 0.239 0.278 0.357
O8 0.257 0.219 0.868
O9 0.323 0.000 0.613
O10 0.349 0.500 0.611
O11 0.433 0.250 0.119
O12 0.486 0.000 0.861

Main lines, sorted by position (15 to 90 degrees two-theta):
two_theta	Rel. int.	h k l
17.70	508	0 0 2
18.58	584	2 0 -1
18.80	1000	1 1 -1
18.92	549	1 1 1
31.74	509	1 1 3
33.81	395	3 1 -2
34.26	837	3 1 2
34.91	391	2 2 1
57.79	403	4 0 5
59.70	427	6 2 0

No. 7
Li4Nb3Fe3Te2O16: calculated X-ray diffraction stick pattern (λ = 1.5418 Å (Cu Kα)), based on a PBE+U-relaxed structure.
Peak positions follow from Bragg's law for the DFT cell and can differ from measured ones.

Crystal structure
abc: 10.959 6.079 10.501
angles: 90.00 90.47 90.00
Space group Cm (No. 8)
Asymmetric unit:
Li1 0.000 0.000 0.000
Li2 0.003 0.000 0.513
Li3 0.163 0.500 0.593
Li4 0.333 0.000 0.093
Nb1 0.095 0.258 0.276
Nb2 0.183 0.000 0.762
Fe1 0.336 0.500 0.290
Fe2 0.416 0.244 0.783
Te1 0.172 0.500 0.979
Te2 0.358 0.000 0.501
O1 0.003 0.000 0.186
O2 0.006 0.500 0.171
O3 0.013 0.000 0.696
O4 0.090 0.253 0.892
O5 0.142 0.000 0.392
O6 0.160 0.500 0.400
O7 0.241 0.256 0.179
O8 0.248 0.233 0.661
O9 0.316 0.000 0.893
O10 0.335 0.500 0.898
O11 0.430 0.254 0.405
O12 0.479 0.000 0.642

Main lines, sorted by position (15 to 90 degrees two-theta):
two_theta	Rel. int.	h k l
16.89	550	0 0 2
18.32	530	2 0 1
18.71	1000	1 1 1
23.84	466	1 1 2
30.53	445	1 1 -3
33.21	359	3 1 -2
33.42	329	3 1 2
33.73	331	4 0 -1
34.11	545	0 0 4
34.81	659	2 2 -1